# 1
The following is a calculated powder diffractogram of Mg7Bi. It was derived from the PBE geometry in Alexandria, using λ = 1.5418 Å (Cu Kα).

Peak list (12 most intense, 10° ≤ 2θ ≤ 90°, by angle)
| h k l | 2θ (°) | intensity |
| --- | --- | --- |
| 1 0 0 | 15.56 | 94 |
| 0 0 1 | 17.30 | 26 |
| 1 0 1 | 23.35 | 85 |
| 1 1 0 | 27.13 | 28 |
| 2 0 0 | 31.42 | 37 |
| 1 1 1 | 32.35 | 36 |
| 0 0 2 | 35.01 | 23 |
| 2 0 1 | 36.09 | 100 |
| 1 0 2 | 38.52 | 22 |
| 2 1 0 | 41.98 | 20 |
| 2 1 1 | 45.72 | 26 |
| 2 0 2 | 47.75 | 24 |

Cell and atoms:
a b c (Å): 6.5746 6.5746 5.1255
angles (deg): 90.00 90.00 120.00
Positions (direct):
Mg  0.0000  0.0000  0.0000
Mg  0.3310  0.1655  0.5000
Mg  0.5089  0.0177  0.0000
Mg  0.5089  0.4911  0.0000
Mg  0.8345  0.1655  0.5000
Mg  0.8345  0.6690  0.5000
Mg  0.9823  0.4911  0.0000
Bi  0.3333  0.6667  0.5000

***

# 2
The following is a calculated powder diffractogram of SmHo6In4. It was derived from the PBE geometry in Alexandria, using λ = 1.5418 Å (Cu Kα).

Peak list (12 most intense, 10° ≤ 2θ ≤ 90°, by angle)
| h k l | 2θ (°) | intensity |
| --- | --- | --- |
| 2 1 0 | 27.06 | 24 |
| 1 1 1 | 29.97 | 27 |
| 3 0 0 | 30.76 | 36 |
| 2 0 1 | 31.72 | 100 |
| 2 2 0 | 35.67 | 65 |
| 2 1 1 | 36.51 | 46 |
| 4 0 1 | 48.47 | 13 |
| 0 0 2 | 49.26 | 15 |
| 3 2 1 | 51.97 | 16 |
| 5 0 1 | 58.51 | 17 |
| 2 2 2 | 62.29 | 25 |
| 5 3 1 | 81.54 | 12 |

Cell and atoms:
a b c (Å): 10.0680 10.0680 3.6997
angles (deg): 90.00 90.00 120.00
Positions (direct):
Sm  0.0000  0.0000  0.0000
Ho  0.1905  0.3811  0.5000
Ho  0.1905  0.8095  0.5000
Ho  0.5375  0.0749  0.0000
Ho  0.5375  0.4625  0.0000
Ho  0.6189  0.8095  0.5000
Ho  0.9251  0.4625  0.0000
In  0.3253  0.1626  0.5000
In  0.3333  0.6667  0.0000
In  0.8374  0.1626  0.5000
In  0.8374  0.6747  0.5000

***

# 3
The following is a calculated powder diffractogram of TbDy3Mg4. It was derived from the PBE geometry in Alexandria, using λ = 1.5418 Å (Cu Kα).

Peak list (11 most intense, 10° ≤ 2θ ≤ 90°, by angle)
| h k l | 2θ (°) | intensity |
| --- | --- | --- |
| 1 0 0 | 23.47 | 63 |
| 1 1 0 | 33.43 | 100 |
| 1 1 4 | 41.26 | 20 |
| 2 0 0 | 48.01 | 18 |
| 2 1 0 | 54.11 | 27 |
| 2 1 4 | 59.77 | 38 |
| 2 2 0 | 70.24 | 12 |
| 3 0 0 | 75.21 | 13 |
| 3 1 0 | 80.06 | 16 |
| 3 1 4 | 84.85 | 8 |
| 2 2 8 | 89.59 | 4 |

Cell and atoms:
a b c (Å): 3.7899 3.7899 15.1628
angles (deg): 90.00 90.00 90.00
Positions (direct):
Tb  0.0000  0.0000  0.0000
Dy  0.0000  0.0000  0.2505
Dy  0.0000  0.0000  0.5000
Dy  0.0000  0.0000  0.7495
Mg  0.5000  0.5000  0.1258
Mg  0.5000  0.5000  0.3752
Mg  0.5000  0.5000  0.6248
Mg  0.5000  0.5000  0.8742

***

# 4
The following is a calculated powder diffractogram of SnH3Cl3. It was derived from the PBE geometry in Alexandria, using λ = 1.5418 Å (Cu Kα).

Peak list (12 most intense, 10° ≤ 2θ ≤ 90°, by angle)
| h k l | 2θ (°) | intensity |
| --- | --- | --- |
| 1 0 0 | 13.21 | 100 |
| 0 0 1 | 14.01 | 62 |
| 1 0 -1 | 14.11 | 74 |
| 1 -1 0 | 14.94 | 37 |
| 1 -1 1 | 19.42 | 37 |
| -1 1 1 | 21.59 | 38 |
| 1 0 1 | 23.40 | 99 |
| -2 1 1 | 26.10 | 32 |
| 0 2 -2 | 26.38 | 89 |
| 1 2 -1 | 28.82 | 72 |
| 2 -2 0 | 30.14 | 32 |
| -1 2 1 | 33.73 | 36 |

Cell and atoms:
a b c (Å): 7.6896 7.8397 8.0382
angles (deg): 117.41 108.81 100.34
Positions (direct):
Sn  0.0711  0.1554  0.4347
Sn  0.9289  0.8446  0.5653
H  0.1266  0.6465  0.8740
H  0.1547  0.0885  0.6488
H  0.4543  0.6782  0.8909
H  0.5457  0.3218  0.1091
H  0.8453  0.9115  0.3512
H  0.8734  0.3535  0.1260
Cl  0.0845  0.6344  0.3573
Cl  0.2701  0.8396  0.0154
Cl  0.4673  0.4421  0.2088
Cl  0.5327  0.5579  0.7912
Cl  0.7299  0.1604  0.9846
Cl  0.9155  0.3656  0.6427